For BaPmBeN2, a cell relaxed with PBE gives the computed powder diffraction line list in this record (Cu Ka).
Kinematic intensities with the Lorentz-polarization factor, no thermal factor.

Main lines, low angle first (15° ≤ 2θ ≤ 90°):
| Position (°2θ) | intensity |
| --- | --- |
| 22.86 | 100 |
| 25.37 | 31 |
| 31.50 | 23 |
| 33.58 | 17 |
| 34.42 | 79 |
| 40.87 | 24 |
| 42.55 | 24 |
| 46.71 | 18 |
| 53.90 | 19 |
| 57.98 | 17 |

Atomic structure:
```
data_BaPmBeN2
_chemical_formula_sum 'Ba2 Pm2 Be2 N4'
_space_group_name_H-M_alt 'P c c m'
_space_group_IT_number 49
_cell_length_a 5.3374
_cell_length_b 5.6799
_cell_length_c 7.0204
_cell_angle_alpha 90.00
_cell_angle_beta 90.00
_cell_angle_gamma 90.00
loop_
_space_group_symop_operation_xyz
'x,y,z'
'-x,-y,-z'
'-x,-y,z'
'x,y,-z'
'x,-y,-z+1/2'
'-x,y,z+1/2'
'-x,y,-z+1/2'
'x,-y,z+1/2'
loop_
_atom_site_label
_atom_site_type_symbol
_atom_site_fract_x
_atom_site_fract_y
_atom_site_fract_z
_atom_site_occupancy
Ba1 Ba 0.0000 0.0000 0.2500 1
Pm1 Pm 0.5000 0.5000 0.2500 1
Be1 Be 0.0000 0.5000 0.0000 1
N1 N 0.2346 0.3411 0.0000 1
```


For Ho2Al12Cu7, a cell relaxed with PBE gives the computed powder diffraction line list in this record (Cu Ka).
Kinematic intensities with the Lorentz-polarization factor, no thermal factor.

Main lines, low angle first (15° ≤ 2θ ≤ 90°):
| Position (°2θ) | intensity |
| --- | --- |
| 17.71 | 22 |
| 30.75 | 45 |
| 30.93 | 22 |
| 35.71 | 100 |
| 35.87 | 17 |
| 44.18 | 21 |
| 46.35 | 16 |
| 48.07 | 39 |
| 51.51 | 22 |
| 68.99 | 17 |

Atomic structure:
```
data_Ho2Al12Cu7
_chemical_formula_sum 'Ho2 Al12 Cu7'
_space_group_name_H-M_alt 'P -3'
_space_group_IT_number 147
_cell_length_a 10.0153
_cell_length_b 10.0153
_cell_length_c 3.9179
_cell_angle_alpha 90.00
_cell_angle_beta 90.00
_cell_angle_gamma 120.00
loop_
_space_group_symop_operation_xyz
'x,y,z'
'-x,-y,-z'
'-y,x-y,z'
'y,-x+y,-z'
'-x+y,-x,z'
'x-y,x,-z'
loop_
_atom_site_label
_atom_site_type_symbol
_atom_site_fract_x
_atom_site_fract_y
_atom_site_fract_z
_atom_site_occupancy
Ho1 Ho 0.3333 0.6667 0.2615 1
Al1 Al 0.0493 0.4339 0.7517 1
Al2 Al 0.1133 0.2654 0.2542 1
Cu1 Cu 0.0000 0.0000 0.5000 1
Cu2 Cu 0.1245 0.7103 0.7554 1
```


For ScZn11Si, a cell relaxed with PBE gives the computed powder diffraction line list in this record (Cu Ka).
Kinematic intensities with the Lorentz-polarization factor, no thermal factor.

Main lines, low angle first (15° ≤ 2θ ≤ 90°):
| Position (°2θ) | intensity |
| --- | --- |
| 35.06 | 41 |
| 40.31 | 46 |
| 40.48 | 44 |
| 40.67 | 70 |
| 40.96 | 100 |
| 41.11 | 41 |
| 45.46 | 80 |
| 45.83 | 67 |
| 45.92 | 39 |
| 46.28 | 30 |

Atomic structure:
```
data_ScZn11Si
_chemical_formula_sum 'Sc2 Zn22 Si2'
_space_group_name_H-M_alt 'C 1 2/m 1'
_space_group_IT_number 12
_cell_length_a 5.1804
_cell_length_b 12.5259
_cell_length_c 6.7010
_cell_angle_alpha 90.00
_cell_angle_beta 112.37
_cell_angle_gamma 90.00
loop_
_space_group_symop_operation_xyz
'x,y,z'
'-x,-y,-z'
'-x,y,-z'
'x,-y,z'
'x+1/2,y+1/2,z'
'-x+1/2,-y+1/2,-z'
'-x+1/2,y+1/2,-z'
'x+1/2,-y+1/2,z'
loop_
_atom_site_label
_atom_site_type_symbol
_atom_site_fract_x
_atom_site_fract_y
_atom_site_fract_z
_atom_site_occupancy
Sc1 Sc 0.0000 0.0000 0.0000 1
Zn1 Zn 0.0000 0.5000 0.5000 1
Zn2 Zn 0.1014 0.3939 0.2109 1
Zn3 Zn 0.1765 0.1766 0.3522 1
Zn4 Zn 0.2500 0.2500 0.0000 1
Si1 Si 0.0000 0.0000 0.5000 1
```


For KTe2Au2Se6, a cell relaxed with PBE gives the computed powder diffraction line list in this record (Cu Ka).
Kinematic intensities with the Lorentz-polarization factor, no thermal factor.

Main lines, low angle first (15° ≤ 2θ ≤ 90°):
| Position (°2θ) | intensity |
| --- | --- |
| 15.27 | 100 |
| 23.79 | 68 |
| 26.52 | 45 |
| 28.33 | 49 |
| 29.33 | 46 |
| 32.90 | 46 |
| 34.63 | 39 |
| 36.23 | 46 |
| 37.39 | 58 |
| 39.65 | 47 |

Atomic structure:
```
data_KTe2Au2Se6
_chemical_formula_sum 'K1 Te2 Au2 Se6'
_space_group_name_H-M_alt 'P -1'
_space_group_IT_number 2
_cell_length_a 7.4881
_cell_length_b 7.6212
_cell_length_c 8.2180
_cell_angle_alpha 95.56
_cell_angle_beta 106.16
_cell_angle_gamma 114.35
loop_
_space_group_symop_operation_xyz
'x,y,z'
'-x,-y,-z'
loop_
_atom_site_label
_atom_site_type_symbol
_atom_site_fract_x
_atom_site_fract_y
_atom_site_fract_z
_atom_site_occupancy
K1 K 0.0000 0.0000 0.0000 1
Te1 Te 0.2291 0.9346 0.5598 1
Au1 Au 0.0512 0.5306 0.2018 1
Se1 Se 0.1836 0.2459 0.6567 1
Se2 Se 0.2488 0.7915 0.8596 1
Se3 Se 0.3258 0.8636 0.2329 1
```


For PuPd3Au, a cell relaxed with PBE gives the computed powder diffraction line list in this record (Cu Ka).
Kinematic intensities with the Lorentz-polarization factor, no thermal factor.

Main lines, low angle first (15° ≤ 2θ ≤ 90°):
| Position (°2θ) | intensity |
| --- | --- |
| 25.70 | 100 |
| 31.49 | 38 |
| 32.15 | 37 |
| 36.25 | 59 |
| 38.54 | 58 |
| 41.60 | 38 |
| 44.96 | 37 |
| 45.30 | 44 |
| 46.90 | 65 |
| 83.44 | 38 |

Atomic structure:
```
data_PuPd3Au
_chemical_formula_sum 'Pu6 Pd18 Au6'
_space_group_name_H-M_alt 'R 3 c'
_space_group_IT_number 161
_space_group_name_Hall 'R 3 -2"c'
_cell_length_a 6.9340
_cell_length_b 6.9340
_cell_length_c 14.8701
_cell_angle_alpha 90.00
_cell_angle_beta 90.00
_cell_angle_gamma 120.00
loop_
_atom_site_label
_atom_site_type_symbol
_atom_site_fract_x
_atom_site_fract_y
_atom_site_fract_z
_atom_site_occupancy
Pu1 Pu 0.0000 0.0000 0.0000 1
Pd1 Pd 0.1089 0.4195 0.3297 1
Au1 Au 0.0000 0.0000 0.3089 1
```


For Cs2MgCrCl6, a cell relaxed with PBE gives the computed powder diffraction line list in this record (Cu Ka).
Kinematic intensities with the Lorentz-polarization factor, no thermal factor.

Main lines, low angle first (15° ≤ 2θ ≤ 90°):
| Position (°2θ) | intensity |
| --- | --- |
| 18.58 | 25 |
| 22.17 | 65 |
| 24.24 | 91 |
| 29.64 | 39 |
| 30.72 | 81 |
| 33.09 | 100 |
| 37.68 | 32 |
| 49.68 | 47 |
| 51.70 | 29 |
| 58.92 | 29 |

Atomic structure:
```
data_Cs2MgCrCl6
_chemical_formula_sum 'Cs12 Mg6 Cr6 Cl36'
_space_group_name_H-M_alt 'R -3 m'
_space_group_IT_number 166
_space_group_name_Hall '-R 3 2"'
_cell_length_a 7.3408
_cell_length_b 7.3408
_cell_length_c 36.1733
_cell_angle_alpha 90.00
_cell_angle_beta 90.00
_cell_angle_gamma 120.00
loop_
_atom_site_label
_atom_site_type_symbol
_atom_site_fract_x
_atom_site_fract_y
_atom_site_fract_z
_atom_site_occupancy
Cs1 Cs 0.0000 0.0000 0.1250 1
Cs2 Cs 0.0000 0.0000 0.2905 1
Mg1 Mg 0.0000 0.0000 0.0000 1
Mg2 Mg 0.0000 0.0000 0.5000 1
Cr1 Cr 0.0000 0.0000 0.4121 1
Cl1 Cl 0.9996 0.4998 0.2928 1
Cl2 Cl 0.0258 0.5129 0.1231 1
```